1.
Diffraction record for Ba4GaAg3. The powder diffractogram is simulated, not measured: it uses the PBE geometry in Alexandria and Cu Kα.
Kinematic intensities with the Lorentz-polarization factor, no thermal factor.

Main lines, by angle (2θ = 15–90°):
26.90°, d = 3.315 Å, I = 100.0, (1 1 1)
28.51°, d = 3.131 Å, I = 51.3, (1 0 3)
33.85°, d = 2.648 Å, I = 69.5, (1 1 3)
33.98°, d = 2.638 Å, I = 30.7, (0 1 4)
36.17°, d = 2.483 Å, I = 31.4, (0 2 0)
37.75°, d = 2.383 Å, I = 27.9, (2 0 0)
46.69°, d = 1.945 Å, I = 25.9, (1 2 3)
51.69°, d = 1.768 Å, I = 18.0, (2 1 4)
53.28°, d = 1.719 Å, I = 20.2, (2 2 0)
67.70°, d = 1.384 Å, I = 17.8, (1 2 7)

Structure:
a b c (Å): 4.7662 4.9663 12.4550
angles (deg): 90.00 90.00 90.00
Space group Pmm2 (No. 25)
Symmetry-distinct sites (fractional):
Ba 0.0000 0.0000 0.0000 [1 per cell]
Ba 0.0000 0.5000 0.2771 [1 per cell]
Ba 0.5000 0.0000 0.4952 [1 per cell]
Ba 0.5000 0.5000 0.7774 [1 per cell]
Ga 0.5000 0.0000 0.2003 [1 per cell]
Ag 0.0000 0.0000 0.7042 [1 per cell]
Ag 0.0000 0.5000 0.5728 [1 per cell]
Ag 0.5000 0.5000 0.0806 [1 per cell]



2.
Diffraction record for BaGa4Ag2. The powder diffractogram is simulated, not measured: it uses the PBE geometry in Alexandria and Cu Kα.
Kinematic intensities with the Lorentz-polarization factor, no thermal factor.

Main lines, by angle (2θ = 15–90°):
29.11°, d = 3.068 Å, I = 98.8, (1 1 2)
32.02°, d = 2.795 Å, I = 100.0, (0 2 0)
32.84°, d = 2.727 Å, I = 75.2, (-1 1 1)
33.47°, d = 2.678 Å, I = 19.1, (1 1 -1)
33.59°, d = 2.668 Å, I = 21.1, (1 -1 1)
40.70°, d = 2.217 Å, I = 34.4, (2 0 1)
40.81°, d = 2.211 Å, I = 28.2, (2 2 1)
43.38°, d = 2.086 Å, I = 17.9, (1 3 2)
47.97°, d = 1.896 Å, I = 26.6, (0 2 3)
58.67°, d = 1.574 Å, I = 17.1, (1 1 4)

Structure:
a b c (Å): 4.8230 6.4434 6.4483
angles (deg): 63.46 68.43 68.22
Space group P-1 (No. 2)
Symmetry-distinct sites (fractional):
Ba 0.0000 0.0000 0.0000 [1 per cell]
Ga 0.3029 0.4008 0.0098 [2 per cell]
Ga 0.3036 0.0080 0.4011 [2 per cell]
Ag 0.1818 0.5733 0.5750 [2 per cell]



3.
Diffraction record for Ba2Ga3Ag6. The powder diffractogram is simulated, not measured: it uses the PBE geometry in Alexandria and Cu Kα.
Kinematic intensities with the Lorentz-polarization factor, no thermal factor.

Main lines, by angle (2θ = 15–90°):
29.30°, d = 3.048 Å, I = 100.0, (1 1 1)
33.19°, d = 2.699 Å, I = 23.2, (2 1 0)
37.79°, d = 2.381 Å, I = 34.3, (3 0 0)
38.85°, d = 2.318 Å, I = 67.0, (2 1 1)
39.85°, d = 2.262 Å, I = 30.1, (0 0 2)
48.52°, d = 1.876 Å, I = 11.7, (2 2 1)
52.80°, d = 1.734 Å, I = 11.9, (2 1 2)
56.09°, d = 1.640 Å, I = 25.9, (3 0 2)
63.09°, d = 1.474 Å, I = 25.8, (4 1 1)
71.70°, d = 1.316 Å, I = 12.8, (2 1 3)

Structure:
a b c (Å): 8.2468 8.2468 4.5248
angles (deg): 90.00 90.00 120.00
Space group P-62m (No. 189)
Symmetry-distinct sites (fractional):
Ba 0.3333 0.6667 0.0000 [2 per cell]
Ga 0.0000 0.6346 0.5000 [3 per cell]
Ag 0.0000 0.2953 0.5000 [3 per cell]
Ag 0.0000 0.8037 0.0000 [3 per cell]



4.
Diffraction record for Ba2Ga3AgHg4. The powder diffractogram is simulated, not measured: it uses the PBE geometry in Alexandria and Cu Kα.
Kinematic intensities with the Lorentz-polarization factor, no thermal factor.

Main lines, by angle (2θ = 15–90°):
26.69°, d = 3.340 Å, I = 28.5, (1 1 1)
30.31°, d = 2.949 Å, I = 100.0, (1 1 2)
30.52°, d = 2.929 Å, I = 55.0, (1 0 3)
36.20°, d = 2.481 Å, I = 82.9, (2 0 0)
42.01°, d = 2.150 Å, I = 43.0, (1 1 4)
48.06°, d = 1.893 Å, I = 31.2, (2 1 3)
52.13°, d = 1.755 Å, I = 29.2, (2 2 0)
59.49°, d = 1.554 Å, I = 24.6, (2 1 5)
61.49°, d = 1.508 Å, I = 26.6, (3 1 2)
69.07°, d = 1.360 Å, I = 26.0, (0 0 8)

Structure:
a b c (Å): 4.9627 4.9627 10.8855
angles (deg): 90.00 90.00 90.00
Space group P-4m2 (No. 115)
Symmetry-distinct sites (fractional):
Ba 0.0000 0.5000 0.2473 [2 per cell]
Ga 0.0000 0.0000 0.0000 [1 per cell]
Ga 0.0000 0.5000 0.6258 [2 per cell]
Ag 0.5000 0.5000 0.0000 [1 per cell]
Hg 0.0000 0.0000 0.5000 [1 per cell]
Hg 0.0000 0.5000 0.8736 [2 per cell]
Hg 0.5000 0.5000 0.5000 [1 per cell]



5.
Diffraction record for BaGa2AgRh. The powder diffractogram is simulated, not measured: it uses the PBE geometry in Alexandria and Cu Kα.
Kinematic intensities with the Lorentz-polarization factor, no thermal factor.

Main lines, by angle (2θ = 15–90°):
24.85°, d = 3.584 Å, I = 34.2, (1 0 1)
26.29°, d = 3.389 Å, I = 39.4, (1 1 0)
31.16°, d = 2.870 Å, I = 100.0, (1 1 1)
33.21°, d = 2.698 Å, I = 64.0, (0 0 2)
37.53°, d = 2.397 Å, I = 91.3, (2 0 0)
42.84°, d = 2.111 Å, I = 20.6, (1 1 2)
50.97°, d = 1.792 Å, I = 74.1, (2 0 2)
54.12°, d = 1.695 Å, I = 30.8, (2 2 0)
63.78°, d = 1.459 Å, I = 24.3, (3 1 1)
64.99°, d = 1.435 Å, I = 35.0, (2 2 2)

Structure:
a b c (Å): 4.7932 4.7932 5.3961
angles (deg): 90.00 90.00 90.00
Space group P4/mmm (No. 123)
Symmetry-distinct sites (fractional):
Ba 0.0000 0.0000 0.0000 [1 per cell]
Ga 0.0000 0.5000 0.5000 [2 per cell]
Ag 0.5000 0.5000 0.0000 [1 per cell]
Rh 0.5000 0.5000 0.5000 [1 per cell]



6.
Diffraction record for BaGaAgS3. The powder diffractogram is simulated, not measured: it uses the PBE geometry in Alexandria and Cu Kα.
Kinematic intensities with the Lorentz-polarization factor, no thermal factor.

Main lines, by angle (2θ = 15–90°):
21.14°, d = 4.203 Å, I = 32.5, (1 1 1)
24.28°, d = 3.666 Å, I = 34.5, (2 0 1)
25.23°, d = 3.530 Å, I = 58.0, (1 1 -2)
25.81°, d = 3.451 Å, I = 66.1, (3 1 -1)
29.31°, d = 3.048 Å, I = 100.0, (2 2 -1)
29.68°, d = 3.010 Å, I = 82.1, (2 2 0)
30.37°, d = 2.944 Å, I = 39.6, (4 0 -1)
34.67°, d = 2.587 Å, I = 68.5, (0 2 2)
51.65°, d = 1.770 Å, I = 33.3, (3 3 -3)
53.76°, d = 1.705 Å, I = 40.0, (6 2 -1)

Structure:
a b c (Å): 11.7942 7.2760 8.1008
angles (deg): 90.00 114.65 90.00
Space group C2/m (No. 12)
Symmetry-distinct sites (fractional):
Ba 0.2010 0.0000 0.2087 [4 per cell]
Ga 0.0518 0.5000 0.2413 [4 per cell]
Ag 0.0000 0.2080 0.5000 [4 per cell]
S 0.0616 0.2443 0.8234 [8 per cell]
S 0.2463 0.0000 0.6222 [4 per cell]